[1]
# NdMg5Rh2
Calculated X-ray diffraction stick pattern, CuKα. Input: a DFT-relaxed cell (GGA-PBE, Alexandria).
Intensities are scaled so that the largest is 100.

Largest 10 diffraction maxima, in order of rising 2θ, 2θ = 15–90°:
two_theta	d (Å)	I/Imax
21.35	4.162	64
30.15	2.964	100
31.72	2.821	30
34.97	2.566	47
42.96	2.105	31
43.34	2.088	79
58.23	1.585	18
62.69	1.482	20
63.08	1.474	19
75.38	1.261	21

Structural model:
```
NdMg5Rh2
1.0
-2.0865 4.1624 4.8807
2.0865 -4.1624 4.8807
2.0865 4.1624 -4.8807
Nd Mg Rh
1 5 2
direct
0.0000 0.0000 0.0000 Nd
0.1509 0.3336 0.8173 Mg
0.4837 0.6664 0.8173 Mg
0.5000 0.0000 0.5000 Mg
0.5163 0.3336 0.1827 Mg
0.8491 0.6664 0.1827 Mg
0.2288 0.7288 0.5000 Rh
0.7712 0.2712 0.5000 Rh
```

---

[2]
# NdMg3Ru
Calculated X-ray diffraction stick pattern, CuKα. Input: a DFT-relaxed cell (GGA-PBE, Alexandria).
Intensities are scaled so that the largest is 100.

Largest 10 diffraction maxima, in order of rising 2θ, 2θ = 15–90°:
two_theta	d (Å)	I/Imax
29.37	3.041	33
29.84	2.994	58
32.48	2.757	90
34.59	2.593	51
36.31	2.474	85
36.98	2.431	31
37.67	2.388	71
37.86	2.376	48
39.44	2.285	100
49.38	1.846	50

Structural model:
```
NdMg3Ru
1.0
5.4502 0.0000 0.0000
0.0000 5.9883 0.0000
-2.1800 0.0000 7.0605
Nd Mg Ru
2 6 2
direct
0.1016 0.2500 0.4090 Nd
0.8984 0.7500 0.5910 Nd
0.0229 0.2500 0.8812 Mg
0.4939 0.0007 0.2060 Mg
0.4939 0.4993 0.2060 Mg
0.5061 0.5007 0.7940 Mg
0.5061 0.9993 0.7940 Mg
0.9771 0.7500 0.1188 Mg
0.3380 0.7500 0.4679 Ru
0.6620 0.2500 0.5321 Ru
```

---

Copy entry 1 word for word.
# NdMg5Rh2
Calculated X-ray diffraction stick pattern, CuKα. Input: a DFT-relaxed cell (GGA-PBE, Alexandria).
Intensities are scaled so that the largest is 100.

Largest 10 diffraction maxima, in order of rising 2θ, 2θ = 15–90°:
two_theta	d (Å)	I/Imax
21.35	4.162	64
30.15	2.964	100
31.72	2.821	30
34.97	2.566	47
42.96	2.105	31
43.34	2.088	79
58.23	1.585	18
62.69	1.482	20
63.08	1.474	19
75.38	1.261	21

Structural model:
```
NdMg5Rh2
1.0
-2.0865 4.1624 4.8807
2.0865 -4.1624 4.8807
2.0865 4.1624 -4.8807
Nd Mg Rh
1 5 2
direct
0.0000 0.0000 0.0000 Nd
0.1509 0.3336 0.8173 Mg
0.4837 0.6664 0.8173 Mg
0.5000 0.0000 0.5000 Mg
0.5163 0.3336 0.1827 Mg
0.8491 0.6664 0.1827 Mg
0.2288 0.7288 0.5000 Rh
0.7712 0.2712 0.5000 Rh
```